The following is a theoretical PXRD pattern of SrF3. It was derived from a structure optimized by DFT (PBE), using Cu Kα, 1.54184 Å.

Top 12 peaks for 2θ = 10–90°, by angle:
| 2theta | I/Imax | index |
| --- | --- | --- |
| 22.51 | 86.7 | 1 0 -1 |
| 25.57 | 84.0 | 0 1 1 |
| 26.19 | 69.6 | 1 0 1 |
| 27.46 | 43.6 | 0 0 2 |
| 29.66 | 100.0 | 1 1 0 |
| 35.16 | 88.7 | 0 1 2 |
| 38.49 | 50.5 | 1 1 -2 |
| 43.13 | 61.1 | 1 1 2 |
| 43.87 | 62.6 | 0 2 0 |
| 46.89 | 50.9 | 2 1 -1 |
| 49.07 | 48.5 | 1 1 -3 |
| 49.83 | 42.4 | 1 0 3 |

Cell and atoms:
```
SrF3
1.0
4.4618 0.0000 0.0000
0.0000 4.1271 0.0000
-1.0479 0.0000 6.4956
Sr F
2 6
direct
0.2101 0.2500 0.2942 Sr
0.7899 0.7500 0.7058 Sr
0.0991 0.2500 0.8918 F
0.2464 0.7500 0.5280 F
0.4846 0.7500 0.1750 F
0.5154 0.2500 0.8250 F
0.7536 0.2500 0.4720 F
0.9009 0.7500 0.1082 F
```